# RbVNiF6
Computed X-ray powder pattern, Cu Kα, 1.54184 Å. Input: the PBE+U geometry in Alexandria.

Structure:
Unit cell a=5.427 b=9.281 c=6.070 alpha=90.00 beta=90.52 gamma=90.00
Space group C2 (No. 5)
One atom of each set of equivalent atoms:
Rb 0.000 0.000 0.000
V 0.000 0.668 0.500
Ni 0.000 0.332 0.500
F 0.119 0.503 0.682
F 0.187 0.807 0.682
F 0.195 0.185 0.679

Main lines, sorted by position (2θ = 5–70°):
2theta  intensity  hkl
14.59  25.0  0 0 1
23.90  50.0  1 1 -1
24.12  100.0  0 2 1
33.34  19.6  1 3 0
44.59  18.0  2 0 -2
44.98  16.2  2 0 2
45.17  34.7  1 3 2
59.17  12.5  3 3 0